Starting from a crystal structure in Alexandria, relaxed with GGA-PBE, the X-ray diffraction stick pattern of B7C3 was calculated for Cu Kα X-rays.
Neutral-atom scattering factors, no anomalous dispersion.

Crystal structure
```
B7C3
1.0
6.9343 -1.3466 0.0000
6.9343 1.3466 0.0000
-0.9733 0.0000 4.2140
B C
7 3
Direct
0.0000 0.0000 0.0000
0.2638 0.2638 0.9990
0.4406 0.4406 0.5647
0.5173 0.5173 0.2970
0.5931 0.5931 0.6705
0.6550 0.6550 0.3303
0.8208 0.8208 0.8540
0.1135 0.1135 0.8590
0.1881 0.1881 0.2041
0.9063 0.9063 0.6921
```

Largest 10 diffraction maxima, low angle first, 2θ from 10° to 90°:
2θ (°), intensity
13.10, 1000
21.08, 278
22.21, 208
27.35, 630
37.69, 493
38.97, 214
39.46, 904
40.97, 398
67.61, 298
69.85, 174